Diffraction record for Cu12Pd5Pt2. The powder diffractogram is simulated, not measured: it uses a PBE-relaxed structure and Cu Kα (λ = 1.5418 Å).
Kinematic intensities with the Lorentz-polarization factor, no thermal factor.

Cell and atoms:
Lattice parameters (Å, degrees): 9.7898 8.4615 7.1517 90.00 118.71 90.00
Space group C2/m (No. 12)
Inequivalent atoms, fractional coordinates:
Cu 0.0950 0.0000 0.3447 x4
Cu 0.1003 0.2327 0.9149 x8
Cu 0.1068 0.5000 0.4107 x4
Cu 0.1917 0.2519 0.3029 x8
Pd 0.0000 0.5000 0.0000 x2
Pd 0.1889 0.0000 0.7566 x4
Pd 0.2057 0.5000 0.8152 x4
Pt 0.0000 0.2465 0.5000 x4

Principal peaks in the range 5° ≤ 2θ ≤ 70°, low angle first:
(hkl)	2θ (°)	d (Å)	intensity
2 0 -1	18.61	4.768	9
2 2 0	29.65	3.013	11
0 2 2	35.63	2.519	11
0 4 0	42.75	2.115	35
4 2 -1	43.10	2.099	100
2 2 -3	43.58	2.077	64
2 4 2	62.34	1.489	20
6 0 -4	63.58	1.463	10